1.
The following is a calculated powder X-ray diffraction pattern of MgMn6O8F4. It was derived from a crystal structure in the Materials Project, relaxed with PBE+U, using Cu Kα (weighted mean of Kα1 and Kα2).
Peak positions follow from Bragg's law for the DFT cell and can differ from measured ones.

Structure:
Cell: 5.259 5.330 8.988 Å, 89.82 89.40 74.66°
Element x y z (fractional)
Mg 0.000 0.000 0.000
Mn 0.024 0.459 0.509
Mn 0.053 0.490 0.183
Mn 0.058 0.498 0.834
Mn 0.518 0.961 0.001
Mn 0.568 0.005 0.672
Mn 0.569 0.005 0.352
O 0.204 0.265 0.007
O 0.247 0.300 0.675
O 0.257 0.305 0.340
O 0.425 0.878 0.510
O 0.691 0.113 0.860
O 0.842 0.670 0.676
O 0.852 0.676 0.342
O 0.853 0.684 0.014
F 0.279 0.801 0.856
F 0.310 0.814 0.147
F 0.738 0.138 0.171
F 0.770 0.187 0.509

Most intense lines, 2θ from 10° to 90°, in order of rising 2θ:
Position (°2θ)  Rel. int.
21.1  100
27.8  51
34.7  52
34.9  25
43.0  20
46.5  23
46.9  13
53.7  17
57.4  12
62.4  17

=====

2.
The following is a calculated powder X-ray diffraction pattern of VH10SeNO9. It was derived from a crystal structure in the Materials Project, relaxed with PBE+U, using Cu Kα (weighted mean of Kα1 and Kα2).
Peak positions follow from Bragg's law for the DFT cell and can differ from measured ones.

Structure:
Cell: 6.453 10.192 6.962 Å, 90.00 108.79 90.00°
Element x y z (fractional)
V 0.115 0.000 0.397
V 0.885 0.500 0.603
H 0.035 0.767 0.665
H 0.091 0.651 0.262
H 0.106 0.656 0.023
H 0.180 0.265 0.265
H 0.267 0.551 0.197
H 0.270 0.212 0.690
H 0.296 0.083 0.816
H 0.312 0.717 0.216
H 0.378 0.350 0.080
H 0.472 0.863 0.696
H 0.528 0.363 0.304
H 0.622 0.850 0.920
H 0.688 0.217 0.784
H 0.704 0.583 0.184
H 0.730 0.712 0.310
H 0.733 0.051 0.803
H 0.820 0.765 0.735
H 0.894 0.156 0.977
H 0.909 0.151 0.738
H 0.965 0.267 0.335
Se 0.432 0.500 0.730
Se 0.568 0.000 0.270
N 0.194 0.644 0.176
N 0.806 0.144 0.824
O 0.035 0.942 0.164
O 0.055 0.210 0.275
O 0.177 0.536 0.572
O 0.182 0.868 0.551
O 0.203 0.124 0.688
O 0.373 0.370 0.216
O 0.421 0.052 0.419
O 0.455 0.340 0.772
O 0.493 0.588 0.940
O 0.507 0.088 0.060
O 0.545 0.840 0.228
O 0.579 0.552 0.581
O 0.627 0.870 0.784
O 0.797 0.624 0.312
O 0.818 0.368 0.449
O 0.823 0.036 0.428
O 0.945 0.710 0.725
O 0.965 0.442 0.836

Most intense lines, 2θ from 10° to 90°, in order of rising 2θ:
Position (°2θ)  Rel. int.
13.4  26
16.0  100
17.4  67
22.0  13
24.4  20
27.1  11
28.0  11
29.3  36
29.6  34
30.6  23

=====

3.
The following is a calculated powder X-ray diffraction pattern of CoSn2O6F6. It was derived from a crystal structure in the Materials Project, relaxed with PBE+U, using Cu Kα (weighted mean of Kα1 and Kα2).
Peak positions follow from Bragg's law for the DFT cell and can differ from measured ones.

Structure:
Cell: 5.349 6.664 7.142 Å, 85.02 89.20 85.62°
Element x y z (fractional)
Co 0.000 0.000 0.000
Sn 0.297 0.405 0.418
Sn 0.703 0.595 0.582
O 0.163 0.852 0.834
O 0.199 0.837 0.151
O 0.216 0.167 0.896
O 0.784 0.833 0.104
O 0.801 0.163 0.849
O 0.837 0.148 0.166
F 0.070 0.510 0.659
F 0.247 0.123 0.480
F 0.387 0.397 0.154
F 0.613 0.603 0.846
F 0.753 0.877 0.520
F 0.930 0.490 0.341

Most intense lines, 2θ from 10° to 90°, in order of rising 2θ:
Position (°2θ)  Rel. int.
12.4  33
13.4  31
17.5  35
19.1  100
20.9  36
22.2  54
23.4  66
25.0  27
30.7  37
32.9  31

=====

4.
The following is a calculated powder X-ray diffraction pattern of Li4V3CuP4O16. It was derived from a crystal structure in the Materials Project, relaxed with PBE+U, using Cu Kα (weighted mean of Kα1 and Kα2).
Peak positions follow from Bragg's law for the DFT cell and can differ from measured ones.

Structure:
Cell: 4.756 6.090 10.413 Å, 90.00 90.38 90.00°
Element x y z (fractional)
Li 0.000 0.243 0.000
Li 0.000 0.757 0.000
Li 0.502 0.246 0.493
Li 0.502 0.754 0.493
V 0.019 0.500 0.721
V 0.486 0.500 0.218
V 0.517 0.000 0.773
Cu 0.961 0.000 0.282
P 0.086 0.000 0.588
P 0.424 0.000 0.090
P 0.588 0.500 0.905
P 0.915 0.500 0.400
O 0.205 0.000 0.450
O 0.224 0.203 0.658
O 0.224 0.797 0.658
O 0.237 0.500 0.395
O 0.267 0.500 0.901
O 0.291 0.000 0.953
O 0.299 0.209 0.158
O 0.299 0.791 0.158
O 0.711 0.500 0.044
O 0.725 0.298 0.835
O 0.725 0.702 0.835
O 0.747 0.000 0.090
O 0.764 0.000 0.593
O 0.771 0.301 0.328
O 0.771 0.699 0.328
O 0.798 0.500 0.538

Most intense lines, 2θ from 10° to 90°, in order of rising 2θ:
Position (°2θ)  Rel. int.
17.0  35
20.5  47
20.6  31
22.5  30
25.3  100
29.3  94
35.1  63
35.3  69
36.1  40
51.9  35

=====

5.
The following is a calculated powder X-ray diffraction pattern of PrFeH8C6N6O4. It was derived from a crystal structure in the Materials Project, relaxed with PBE+U, using Cu Kα (weighted mean of Kα1 and Kα2).
Peak positions follow from Bragg's law for the DFT cell and can differ from measured ones.

Structure:
Cell: 7.926 7.926 14.414 Å, 90.00 90.00 120.50°
Element x y z (fractional)
Pr 0.176 0.824 0.750
Pr 0.824 0.176 0.250
Fe 0.500 0.500 0.000
Fe 0.500 0.500 0.500
H 0.022 0.623 0.195
H 0.022 0.623 0.305
H 0.088 0.912 0.096
H 0.088 0.912 0.404
H 0.188 0.812 0.046
H 0.188 0.812 0.454
H 0.377 0.978 0.195
H 0.377 0.978 0.305
H 0.623 0.022 0.695
H 0.623 0.022 0.805
H 0.812 0.188 0.546
H 0.812 0.188 0.954
H 0.912 0.088 0.596
H 0.912 0.088 0.904
H 0.978 0.377 0.695
H 0.978 0.377 0.805
C 0.256 0.351 0.095
C 0.256 0.351 0.405
C 0.351 0.256 0.595
C 0.351 0.256 0.905
C 0.356 0.644 0.561
C 0.356 0.644 0.939
C 0.644 0.356 0.061
C 0.644 0.356 0.439
C 0.649 0.744 0.095
C 0.649 0.744 0.405
C 0.744 0.649 0.595
C 0.744 0.649 0.905
N 0.118 0.275 0.143
N 0.118 0.275 0.357
N 0.275 0.118 0.643
N 0.275 0.118 0.857
N 0.281 0.719 0.599
N 0.281 0.719 0.901
N 0.719 0.281 0.099
N 0.719 0.281 0.401
N 0.725 0.882 0.143
N 0.725 0.882 0.357
N 0.882 0.725 0.643
N 0.882 0.725 0.857
O 0.027 0.462 0.750
O 0.158 0.842 0.108
O 0.158 0.842 0.392
O 0.462 0.027 0.250
O 0.538 0.973 0.750
O 0.842 0.158 0.608
O 0.842 0.158 0.892
O 0.973 0.538 0.250

Most intense lines, 2θ from 10° to 90°, in order of rising 2θ:
Position (°2θ)  Rel. int.
14.3  100
17.9  92
22.4  34
22.6  39
32.0  15
32.2  31
33.6  17
33.7  19
35.2  16
39.7  15